Starting from a cell relaxed with GGA+U, the powder X-ray diffraction pattern of Gd2MgTl2W4O16 was calculated for Cu Ka.
Kinematic intensities with the Lorentz-polarization factor, no thermal factor.

Structure:
Cell lengths 7.548, 7.642, 7.927 Å; angles 89.52, 62.99, 63.69 degrees
Fractional positions:
Gd  0.000  0.000  0.000
Gd  0.486  0.477  0.572
Mg  0.995  0.573  0.438
Tl  0.010  0.345  0.698
Tl  0.485  0.036  0.996
W  0.046  0.953  0.465
W  0.447  0.534  0.099
W  0.545  0.928  0.487
W  0.940  0.562  0.082
O  0.047  0.278  0.987
O  0.106  0.631  0.861
O  0.194  0.470  0.156
O  0.201  0.831  0.166
O  0.255  0.636  0.416
O  0.303  0.988  0.404
O  0.376  0.861  0.710
O  0.431  0.212  0.562
O  0.538  0.475  0.840
O  0.620  0.292  0.134
O  0.659  0.626  0.061
O  0.743  0.594  0.377
O  0.770  0.877  0.206
O  0.811  0.865  0.538
O  0.867  0.188  0.428
O  0.947  0.022  0.730

Most intense lines, 10 to 80 degrees two-theta, in order of rising 2θ:
16.18°, I 33
26.00°, I 61
26.22°, I 30
26.83°, I 96
28.48°, I 60
29.06°, I 72
30.56°, I 74
32.15°, I 32
32.68°, I 100
48.35°, I 28

Starting from a cell relaxed with GGA+U, the powder X-ray diffraction pattern of Li9Fe2O8 was calculated for Cu Ka.
Kinematic intensities with the Lorentz-polarization factor, no thermal factor.

Structure:
Cell lengths 6.478, 6.478, 4.695 Å; angles 90.29, 90.29, 89.64 degrees
Fractional positions:
Li  0.000  0.000  0.000
Li  0.199  0.298  0.938
Li  0.218  0.322  0.427
Li  0.416  0.584  0.000
Li  0.487  0.094  0.496
Li  0.678  0.782  0.573
Li  0.702  0.801  0.062
Li  0.906  0.513  0.504
Li  0.919  0.081  0.500
Fe  0.204  0.796  0.500
Fe  0.701  0.299  0.000
O  0.192  0.551  0.689
O  0.197  0.060  0.672
O  0.445  0.306  0.187
O  0.449  0.808  0.311
O  0.694  0.555  0.813
O  0.721  0.043  0.788
O  0.940  0.803  0.328
O  0.957  0.279  0.212

Most intense lines, 10 to 80 degrees two-theta, in order of rising 2θ:
19.32°, I 44
19.44°, I 28
23.35°, I 93
23.46°, I 100
27.54°, I 45
33.54°, I 28
33.70°, I 32
36.51°, I 46
56.21°, I 33
56.85°, I 27

Repeat the first record exactly.
Starting from a cell relaxed with GGA+U, the powder X-ray diffraction pattern of Gd2MgTl2W4O16 was calculated for Cu Ka.
Kinematic intensities with the Lorentz-polarization factor, no thermal factor.

Structure:
Cell lengths 7.548, 7.642, 7.927 Å; angles 89.52, 62.99, 63.69 degrees
Fractional positions:
Gd  0.000  0.000  0.000
Gd  0.486  0.477  0.572
Mg  0.995  0.573  0.438
Tl  0.010  0.345  0.698
Tl  0.485  0.036  0.996
W  0.046  0.953  0.465
W  0.447  0.534  0.099
W  0.545  0.928  0.487
W  0.940  0.562  0.082
O  0.047  0.278  0.987
O  0.106  0.631  0.861
O  0.194  0.470  0.156
O  0.201  0.831  0.166
O  0.255  0.636  0.416
O  0.303  0.988  0.404
O  0.376  0.861  0.710
O  0.431  0.212  0.562
O  0.538  0.475  0.840
O  0.620  0.292  0.134
O  0.659  0.626  0.061
O  0.743  0.594  0.377
O  0.770  0.877  0.206
O  0.811  0.865  0.538
O  0.867  0.188  0.428
O  0.947  0.022  0.730

Most intense lines, 10 to 80 degrees two-theta, in order of rising 2θ:
16.18°, I 33
26.00°, I 61
26.22°, I 30
26.83°, I 96
28.48°, I 60
29.06°, I 72
30.56°, I 74
32.15°, I 32
32.68°, I 100
48.35°, I 28